Nd2In4Pb: calculated powder diffraction line list (a wavelength of 1.5418 Å), based on a cell relaxed with GGA-PBE.
Intensities are scaled so that the largest is 100.

Crystal structure
```
data_Nd2In4Pb
_space_group_name_H-M_alt 'C 1 2/m 1'
_space_group_IT_number 12
_cell_length_a 9.2232
_cell_length_b 9.2267
_cell_length_c 6.7074
_cell_angle_alpha 90.00
_cell_angle_beta 133.30
_cell_angle_gamma 90.00
loop_
_space_group_symop_operation_xyz
'x,y,z'
'-x,-y,-z'
'-x,y,-z'
'x,-y,z'
'x+1/2,y+1/2,z'
'-x+1/2,-y+1/2,-z'
'-x+1/2,y+1/2,-z'
'x+1/2,-y+1/2,z'
loop_
_atom_site_label
_atom_site_type_symbol
_atom_site_fract_x
_atom_site_fract_y
_atom_site_fract_z
Nd1 Nd 0.2500 0.2500 0.0000
In1 In 0.0000 0.0000 0.5000
In2 In 0.0000 0.5000 0.5000
In3 In 0.2500 0.2500 0.5000
Pb1 Pb 0.0000 0.0000 0.0000
```

Principal peaks in the range 10° ≤ 2θ ≤ 80°, in order of falling intensity:
hkl 2 2 0, 33.0 deg, I 100; hkl 0 4 0, 39.1 deg, I 32; hkl 2 6 0, 67.0 deg, I 25; hkl 1 1 0, 16.3 deg, I 24; hkl 0 0 2, 36.8 deg, I 19; hkl 4 0 0, 54.7 deg, I 18; hkl 4 4 -2, 56.4 deg, I 11; hkl 1 3 0, 32.0 deg, I 10

=====

Tb2YSc2: calculated powder diffraction line list (a wavelength of 1.5418 Å), based on a cell relaxed with GGA-PBE.
Intensities are scaled so that the largest is 100.

Crystal structure
```
data_Tb2YSc2
_space_group_name_H-M_alt 'P 1 21/c 1'
_space_group_IT_number 14
_cell_length_a 14.0350
_cell_length_b 6.9416
_cell_length_c 6.0075
_cell_angle_alpha 90.00
_cell_angle_beta 98.19
_cell_angle_gamma 90.00
loop_
_space_group_symop_operation_xyz
'x,y,z'
'-x,-y,-z'
'-x,y+1/2,-z+1/2'
'x,-y+1/2,z+1/2'
loop_
_atom_site_label
_atom_site_type_symbol
_atom_site_fract_x
_atom_site_fract_y
_atom_site_fract_z
Tb1 Tb 0.0984 0.1241 0.1207
Tb2 Tb 0.3036 0.6274 0.8538
Y1 Y 0.3041 0.1234 0.8502
Sc1 Sc 0.0993 0.6260 0.1139
Sc2 Sc 0.5002 0.1246 0.2517
```

Principal peaks in the range 10° ≤ 2θ ≤ 80°, in order of falling intensity:
hkl 1 2 1, 31.0 deg, I 100; hkl 2 0 2, 34.5 deg, I 60; hkl 5 0 0, 32.2 deg, I 57; hkl 3 0 -2, 33.4 deg, I 56; hkl 4 2 -1, 38.2 deg, I 52; hkl 5 4 0, 63.2 deg, I 48; hkl 0 4 0, 52.8 deg, I 43; hkl 2 2 -1, 31.7 deg, I 28

=====

Pu2Ga2Hg3: calculated powder diffraction line list (a wavelength of 1.5418 Å), based on a cell relaxed with GGA-PBE.
Intensities are scaled so that the largest is 100.

Crystal structure
```
data_Pu2Ga2Hg3
_space_group_name_H-M_alt 'P 1 2/m 1'
_space_group_IT_number 10
_cell_length_a 4.8008
_cell_length_b 3.0910
_cell_length_c 11.0501
_cell_angle_alpha 90.00
_cell_angle_beta 102.47
_cell_angle_gamma 90.00
loop_
_space_group_symop_operation_xyz
'x,y,z'
'-x,-y,-z'
'-x,y,-z'
'x,-y,z'
loop_
_atom_site_label
_atom_site_type_symbol
_atom_site_fract_x
_atom_site_fract_y
_atom_site_fract_z
Pu1 Pu 0.1388 0.0000 0.2766
Ga1 Ga 0.4250 0.5000 0.8513
Hg1 Hg 0.0000 0.5000 0.0000
Hg2 Hg 0.2870 0.5000 0.5744
```

Principal peaks in the range 10° ≤ 2θ ≤ 80°, in order of falling intensity:
hkl 1 0 3, 34.6 deg, I 100; hkl 1 1 1, 36.8 deg, I 82; hkl 0 1 2, 33.4 deg, I 53; hkl 2 0 -1, 37.5 deg, I 41; hkl 2 1 -3, 51.1 deg, I 33; hkl 1 2 3, 71.0 deg, I 26; hkl 1 0 -1, 18.9 deg, I 23; hkl 1 1 5, 59.0 deg, I 21

=====

ZrUCo4: calculated powder diffraction line list (a wavelength of 1.5418 Å), based on a cell relaxed with GGA-PBE.
Intensities are scaled so that the largest is 100.

Crystal structure
```
data_ZrUCo4
_space_group_name_H-M_alt 'F -4 3 m'
_space_group_IT_number 216
_space_group_name_Hall 'F -4 2 3'
_cell_length_a 6.9157
_cell_length_b 6.9157
_cell_length_c 6.9157
_cell_angle_alpha 90.00
_cell_angle_beta 90.00
_cell_angle_gamma 90.00
loop_
_atom_site_label
_atom_site_type_symbol
_atom_site_fract_x
_atom_site_fract_y
_atom_site_fract_z
Zr1 Zr 0.0000 0.0000 0.0000
U1 U 0.2500 0.2500 0.2500
Co1 Co 0.1248 0.1248 0.6248
```

Principal peaks in the range 10° ≤ 2θ ≤ 80°, in order of falling intensity:
hkl 3 1 1, 43.4 deg, I 100; hkl 2 2 0, 36.8 deg, I 62; hkl 3 3 3, 70.8 deg, I 31; hkl 1 1 1, 22.3 deg, I 26; hkl 4 2 2, 66.2 deg, I 23; hkl 4 4 0, 78.2 deg, I 21; hkl 2 2 2, 45.4 deg, I 17; hkl 2 0 0, 25.8 deg, I 13

=====

Y3Mg3Ni: calculated powder diffraction line list (a wavelength of 1.5418 Å), based on a cell relaxed with GGA-PBE.
Intensities are scaled so that the largest is 100.

Crystal structure
Cell: 14.2645 14.2645 14.2645 Å, 90.00 90.00 90.00°
Space group Fd-3m (No. 227, origin choice 2)
Asymmetric unit:
Y 0.0737 0.3750 0.3750 x48
Mg 0.0000 0.0000 0.5000 x16
Mg 0.0445 0.0445 0.7055 x32
Ni 0.0000 0.0000 0.0000 x16

Principal peaks in the range 10° ≤ 2θ ≤ 80°, in order of falling intensity:
hkl 3 3 3, 32.6 deg, I 100; hkl 4 4 0, 35.6 deg, I 82; hkl 4 2 2, 30.7 deg, I 67; hkl 8 2 2, 54.6 deg, I 59; hkl 1 1 1, 10.7 deg, I 58; hkl 5 5 1, 45.4 deg, I 34; hkl 7 3 1, 49.1 deg, I 27; hkl 3 1 1, 20.7 deg, I 20

=====

CsPuAgF6: calculated powder diffraction line list (a wavelength of 1.5418 Å), based on a cell relaxed with GGA-PBE.
Intensities are scaled so that the largest is 100.

Crystal structure
```
data_CsPuAgF6
_space_group_name_H-M_alt 'C 1 2 1'
_space_group_IT_number 5
_cell_length_a 6.2800
_cell_length_b 11.0288
_cell_length_c 6.2389
_cell_angle_alpha 90.00
_cell_angle_beta 90.38
_cell_angle_gamma 90.00
loop_
_space_group_symop_operation_xyz
'x,y,z'
'-x,y,-z'
'x+1/2,y+1/2,z'
'-x+1/2,y+1/2,-z'
loop_
_atom_site_label
_atom_site_type_symbol
_atom_site_fract_x
_atom_site_fract_y
_atom_site_fract_z
Cs1 Cs 0.0000 0.0000 0.0000
Pu1 Pu 0.0000 0.6668 0.5000
Ag1 Ag 0.0000 0.3355 0.5000
F1 F 0.1253 0.5219 0.3030
F2 F 0.1519 0.8035 0.3039
F3 F 0.2126 0.1751 0.3072
```

Principal peaks in the range 10° ≤ 2θ ≤ 80°, in order of falling intensity:
hkl 1 1 -1, 21.5 deg, I 100; hkl 1 1 1, 21.7 deg, I 50; hkl 1 3 0, 28.1 deg, I 43; hkl 0 0 1, 14.2 deg, I 40; hkl 1 3 -2, 40.5 deg, I 30; hkl 1 3 2, 40.6 deg, I 29; hkl 2 0 0, 28.4 deg, I 21; hkl 3 1 1, 46.6 deg, I 19

=====

CaCd2InPb: calculated powder diffraction line list (a wavelength of 1.5418 Å), based on a cell relaxed with GGA-PBE.
Intensities are scaled so that the largest is 100.

Crystal structure
```
data_CaCd2InPb
_space_group_name_H-M_alt 'C m c m'
_space_group_IT_number 63
_space_group_name_Hall '-C 2c 2'
_cell_length_a 3.7087
_cell_length_b 14.0856
_cell_length_c 10.6944
_cell_angle_alpha 90.00
_cell_angle_beta 90.00
_cell_angle_gamma 90.00
loop_
_atom_site_label
_atom_site_type_symbol
_atom_site_fract_x
_atom_site_fract_y
_atom_site_fract_z
Ca1 Ca 0.0000 0.0481 0.2500
Cd1 Cd 0.0000 0.2977 0.5907
In1 In 0.0000 0.5000 0.0000
Pb1 Pb 0.0000 0.3432 0.2500
```

Principal peaks in the range 10° ≤ 2θ ≤ 80°, in order of falling intensity:
hkl 1 1 3, 35.5 deg, I 100; hkl 0 4 3, 35.9 deg, I 60; hkl 1 1 0, 24.8 deg, I 51; hkl 0 2 3, 28.1 deg, I 49; hkl 1 3 2, 35.1 deg, I 47; hkl 1 3 0, 30.7 deg, I 38; hkl 0 4 2, 30.4 deg, I 37; hkl 1 3 6, 61.0 deg, I 34

=====

V6Mo5Pd: calculated powder diffraction line list (a wavelength of 1.5418 Å), based on a cell relaxed with GGA-PBE.
Intensities are scaled so that the largest is 100.

Crystal structure
```
data_V6Mo5Pd
_space_group_name_H-M_alt 'C 1 2/m 1'
_space_group_IT_number 12
_cell_length_a 13.7345
_cell_length_b 6.1370
_cell_length_c 4.3489
_cell_angle_alpha 90.00
_cell_angle_beta 108.37
_cell_angle_gamma 90.00
loop_
_space_group_symop_operation_xyz
'x,y,z'
'-x,-y,-z'
'-x,y,-z'
'x,-y,z'
'x+1/2,y+1/2,z'
'-x+1/2,-y+1/2,-z'
'-x+1/2,y+1/2,-z'
'x+1/2,-y+1/2,z'
loop_
_atom_site_label
_atom_site_type_symbol
_atom_site_fract_x
_atom_site_fract_y
_atom_site_fract_z
V1 V 0.0000 0.2379 0.0000
V2 V 0.1701 0.2446 0.6701
Mo1 Mo 0.0000 0.0000 0.5000
Mo2 Mo 0.1623 0.5000 0.1624
Mo3 Mo 0.1680 0.0000 0.1681
Pd1 Pd 0.0000 0.5000 0.5000
```

Principal peaks in the range 10° ≤ 2θ ≤ 80°, in order of falling intensity:
hkl 2 0 -2, 41.6 deg, I 100; hkl 0 2 3, 75.8 deg, I 16; hkl 2 4 -2, 75.9 deg, I 15; hkl 0 2 0, 29.1 deg, I 15; hkl 4 0 2, 60.2 deg, I 10; hkl 0 4 0, 60.3 deg, I 5; hkl 2 2 -2, 51.5 deg, I 4; hkl 4 2 2, 68.3 deg, I 3

=====

LiZrBr2: calculated powder diffraction line list (a wavelength of 1.5418 Å), based on a cell relaxed with GGA-PBE.
Intensities are scaled so that the largest is 100.

Crystal structure
```
data_LiZrBr2
_space_group_name_H-M_alt 'P 1 2/m 1'
_space_group_IT_number 10
_cell_length_a 3.4417
_cell_length_b 3.3631
_cell_length_c 7.9287
_cell_angle_alpha 90.00
_cell_angle_beta 98.04
_cell_angle_gamma 90.00
loop_
_space_group_symop_operation_xyz
'x,y,z'
'-x,-y,-z'
'-x,y,-z'
'x,-y,z'
loop_
_atom_site_label
_atom_site_type_symbol
_atom_site_fract_x
_atom_site_fract_y
_atom_site_fract_z
Li1 Li 0.0000 0.0000 0.0000
Zr1 Zr 0.5000 0.0000 0.5000
Br1 Br 0.4301 0.5000 0.2127
```

Principal peaks in the range 10° ≤ 2θ ≤ 80°, in order of falling intensity:
hkl 1 0 0, 26.1 deg, I 100; hkl 0 1 2, 35.1 deg, I 97; hkl 1 1 -2, 42.2 deg, I 61; hkl 1 1 1, 40.5 deg, I 54; hkl 0 1 1, 28.9 deg, I 44; hkl 0 0 4, 46.3 deg, I 40; hkl 0 0 3, 34.3 deg, I 33; hkl 0 0 1, 11.3 deg, I 31

=====

DyY9Th2: calculated powder diffraction line list (a wavelength of 1.5418 Å), based on a cell relaxed with GGA-PBE.
Intensities are scaled so that the largest is 100.

Crystal structure
```
data_DyY9Th2
_space_group_name_H-M_alt 'P 4/m m m'
_space_group_IT_number 123
_space_group_name_Hall '-P 4 2'
_cell_length_a 5.0538
_cell_length_b 5.0538
_cell_length_c 15.1426
_cell_angle_alpha 90.00
_cell_angle_beta 90.00
_cell_angle_gamma 90.00
loop_
_atom_site_label
_atom_site_type_symbol
_atom_site_fract_x
_atom_site_fract_y
_atom_site_fract_z
Dy1 Dy 0.0000 0.0000 0.0000
Y1 Y 0.0000 0.5000 0.1684
Y2 Y 0.0000 0.5000 0.5000
Y3 Y 0.5000 0.5000 0.0000
Y4 Y 0.5000 0.5000 0.3330
Th1 Th 0.0000 0.0000 0.3341
```

Principal peaks in the range 10° ≤ 2θ ≤ 80°, in order of falling intensity:
hkl 1 1 3, 30.7 deg, I 100; hkl 2 0 0, 35.5 deg, I 50; hkl 3 1 3, 60.8 deg, I 42; hkl 2 2 0, 51.1 deg, I 35; hkl 1 0 0, 17.6 deg, I 15; hkl 1 1 0, 24.9 deg, I 13; hkl 2 2 6, 63.8 deg, I 12; hkl 2 1 0, 39.9 deg, I 8